Structure and computed powder XRD pattern of CsGaPb (a structure optimized by DFT (GGA-PBE); copper Kα).
Neutral-atom scattering factors, no anomalous dispersion.

The 10 most intense peaks (10 to 80 degrees two-theta), in order of falling intensity:
| d (Å) | Rel. int. | h k l |
| --- | --- | --- |
| 3.517 | 100 | 1 2 1 |
| 3.257 | 44 | 0 4 0 |
| 6.504 | 38 | 0 2 0 |
| 2.924 | 33 | 1 1 2 |
| 2.092 | 21 | 2 0 2 |
| 2.468 | 21 | 1 3 2 |
| 2.350 | 20 | 2 1 1 |
| 3.238 | 19 | 0 2 2 |
| 1.927 | 19 | 1 6 1 |
| 1.760 | 17 | 2 5 1 |

Structure:
```
data_CsGaPb
_space_group_name_H-M_alt 'I m m a'
_space_group_IT_number 74
_space_group_name_Hall '-I 2b 2'
_cell_length_a 5.043
_cell_length_b 13.029
_cell_length_c 7.464
_cell_angle_alpha 90.00
_cell_angle_beta 90.00
_cell_angle_gamma 90.00
loop_
_atom_site_label
_atom_site_fract_x
_atom_site_fract_y
_atom_site_fract_z
_atom_site_occupancy
Cs1 0.000 0.000 0.000 1
Ga1 0.250 0.250 0.250 1
Pb1 0.000 0.250 0.620 1
```